No. 1
Computed PXRD pattern of Gd3CoHg for Cu Kα (λ = 1.5418 Å), from a crystal structure in Alexandria, relaxed with PBE.
Peak positions follow from Bragg's law for the DFT cell and can differ from measured ones.

Top 6 peaks for 10° ≤ 2θ ≤ 90°, by intensity:
29.84 deg, 2.995 Å, intensity 100
34.59 deg, 2.593 Å, intensity 74
49.72 deg, 1.834 Å, intensity 53
59.07 deg, 1.564 Å, intensity 45
83.32 deg, 1.160 Å, intensity 24
80.76 deg, 1.190 Å, intensity 19

Structural model:
abc: 5.1869 5.1869 5.1869
angles: 90.00 90.00 90.00
Space group Pm-3m (No. 221)
Unique sites:
Gd 0.0000 0.0000 0.5000 x3
Co 0.0000 0.0000 0.0000 x1
Hg 0.5000 0.5000 0.5000 x1



No. 2
Computed PXRD pattern of Ba2LiHg for Cu Kα (λ = 1.5418 Å), from a crystal structure in Alexandria, relaxed with PBE.
Peak positions follow from Bragg's law for the DFT cell and can differ from measured ones.

Top 6 peaks for 10° ≤ 2θ ≤ 90°, by intensity:
29.65 deg, 3.013 Å, intensity 100
29.74 deg, 3.004 Å, intensity 50
14.75 deg, 6.007 Å, intensity 43
52.73 deg, 1.736 Å, intensity 40
25.58 deg, 3.483 Å, intensity 25
52.55 deg, 1.741 Å, intensity 20

Structural model:
abc: 8.4897 8.5011 4.2746
angles: 90.00 90.00 90.00
Space group Cmmm (No. 65)
Unique sites:
Ba 0.2500 0.2500 0.0000 x4
Li 0.0000 0.0000 0.5000 x2
Hg 0.0000 0.5000 0.5000 x2



> What is the formula in the first record?

Gd3CoHg